[1]
Structure and computed powder X-ray diffraction pattern of Rb2VSnO4 (a GGA+U-relaxed structure; λ = 1.5418 Å (Cu Kα)).
Peak positions follow from Bragg's law for the DFT cell and can differ from measured ones.

Peak list (12 most intense, 2θ from 10° to 90°, by angle)
h k l, Position (°2θ), Rel. int.
1 1 -1, 24.4, 27
1 -1 1, 25.3, 100
-1 1 1, 25.5, 77
0 1 1, 26.4, 45
0 1 -2, 27.6, 21
1 1 0, 28.0, 56
0 2 -1, 28.8, 88
1 1 -2, 29.7, 64
0 0 2, 30.5, 32
2 0 -1, 34.7, 40
2 -2 0, 41.2, 27
1 0 2, 41.6, 25

Lattice parameters (Å, degrees): 5.259 6.306 6.737 111.06 105.64 100.53
Space group P1 (No. 1)
One atom of each set of equivalent atoms:
Rb: 0.000 0.000 0.000
Rb: 0.341 0.746 0.436
V: 0.811 0.300 0.491
Sn: 0.459 0.407 0.850
O: 0.154 0.277 0.516
O: 0.585 0.087 0.230
O: 0.734 0.246 0.719
O: 0.816 0.585 0.527

[2]
Structure and computed powder X-ray diffraction pattern of RbSnWO6 (a GGA+U-relaxed structure; λ = 1.5418 Å (Cu Kα)).
Peak positions follow from Bragg's law for the DFT cell and can differ from measured ones.

Peak list (12 most intense, 2θ from 10° to 90°, by angle)
h k l, Position (°2θ), Rel. int.
0 0 1, 14.4, 100
1 1 -1, 23.2, 57
0 2 1, 23.4, 76
1 1 1, 23.7, 52
0 0 2, 29.1, 29
1 3 0, 32.0, 49
2 0 0, 32.2, 26
1 3 -1, 35.1, 24
2 2 -1, 39.9, 20
1 3 -2, 43.5, 38
1 3 2, 44.1, 23
1 5 -1, 52.0, 19

Lattice parameters (Å, degrees): 5.554 9.703 6.145 90.00 91.36 90.00
Space group C2 (No. 5)
One atom of each set of equivalent atoms:
Rb: 0.000 0.000 0.000
Sn: 0.000 0.679 0.500
W: 0.000 0.322 0.500
O: 0.092 0.494 0.340
O: 0.182 0.208 0.311
O: 0.213 0.803 0.313